For Ba4Sn2Bi5, a crystal structure in Alexandria, relaxed with GGA-PBE gives the computed X-ray powder pattern in this record (Cu Kα X-rays).
Peak positions follow from Bragg's law for the DFT cell and can differ from measured ones.

Crystal structure
```
data_Ba4Sn2Bi5
_symmetry_space_group_name_H-M 'P 1 2/m 1'
_symmetry_Int_Tables_number 10
_cell_length_a 8.3092
_cell_length_b 5.1443
_cell_length_c 10.0882
_cell_angle_alpha 90.00
_cell_angle_beta 95.67
_cell_angle_gamma 90.00
loop_
_symmetry_equiv_pos_as_xyz
'x,y,z'
'-x,-y,-z'
'-x,y,-z'
'x,-y,z'
loop_
_atom_site_label
_atom_site_type_symbol
_atom_site_fract_x
_atom_site_fract_y
_atom_site_fract_z
_atom_site_occupancy
Ba1 Ba 0.2261 0.0000 0.3746 1
Ba2 Ba 0.2470 0.0000 0.9029 1
Sn1 Sn 0.0799 0.5000 0.1350 1
Bi1 Bi 0.1407 0.5000 0.6258 1
Bi2 Bi 0.4454 0.5000 0.1636 1
Bi3 Bi 0.5000 0.5000 0.5000 1
```

Peak list (10 most intense, 10° ≤ 2θ ≤ 80°, most intense first)
index	2θ/deg	d_spacing	I (rel.)
1 1 2	27.73	3.218	100
1 1 -2	26.34	3.384	46
0 2 0	34.88	2.572	35
0 1 0	17.24	5.144	33
1 0 3	29.77	3.001	22
0 1 3	31.87	2.808	21
3 0 2	38.80	2.321	15
3 0 -1	32.85	2.727	14
1 1 -6	57.98	1.591	14
0 0 4	35.78	2.510	13